# 1
Starting from a crystal structure in the Materials Project, relaxed with GGA+U, the powder diffractogram of Li3Cr3FeO8 was simulated for λ = 1.5418 Å (Cu Kα).
Peak positions follow from Bragg's law for the DFT cell and can differ from measured ones.

Atomic structure:
```
Li3Cr3FeO8
1.0
5.143 -2.966 0.000
5.143 2.966 0.000
-3.407 0.000 4.892
Li Cr Fe O
3 3 1 8
Direct
0.000 0.000 0.000
0.000 0.500 0.000
0.500 0.000 0.000
0.000 0.000 0.500
0.000 0.500 0.500
0.500 0.000 0.500
0.500 0.500 0.500
0.227 0.755 0.714
0.233 0.233 0.715
0.245 0.773 0.286
0.260 0.260 0.277
0.740 0.740 0.723
0.755 0.227 0.714
0.767 0.767 0.285
0.773 0.245 0.286
```

Top 10 peaks for 10 to 80 degrees two-theta, low angle first:
- 18.13 deg, d = 4.892 Å, intensity 100
- 35.46 deg, d = 2.532 Å, intensity 37
- 37.06 deg, d = 2.426 Å, intensity 10
- 42.86 deg, d = 2.110 Å, intensity 23
- 43.02 deg, d = 2.103 Å, intensity 45
- 46.94 deg, d = 1.936 Å, intensity 7
- 56.73 deg, d = 1.623 Å, intensity 10
- 62.10 deg, d = 1.495 Å, intensity 12
- 62.60 deg, d = 1.484 Å, intensity 19
- 65.81 deg, d = 1.419 Å, intensity 9

***

# 2
Starting from a crystal structure in the Materials Project, relaxed with GGA+U, the powder diffractogram of Li5Cr2Fe3O10 was simulated for λ = 1.5418 Å (Cu Kα).
Peak positions follow from Bragg's law for the DFT cell and can differ from measured ones.

Atomic structure:
```
Li5Cr2Fe3O10
1.0
5.132 0.000 0.000
0.880 5.064 0.000
2.523 2.106 7.194
Li Cr Fe O
5 2 3 10
Direct
0.000 0.000 0.000
0.486 0.888 0.727
0.498 0.285 0.917
0.502 0.715 0.083
0.514 0.112 0.273
0.005 0.402 0.191
0.995 0.598 0.809
0.003 0.812 0.388
0.500 0.500 0.500
0.997 0.188 0.612
0.230 0.635 0.955
0.231 0.049 0.164
0.233 0.836 0.557
0.238 0.451 0.360
0.249 0.269 0.732
0.751 0.731 0.268
0.762 0.549 0.640
0.767 0.164 0.443
0.769 0.951 0.836
0.770 0.365 0.045
```

Top 10 peaks for 10 to 80 degrees two-theta, low angle first:
- 12.30 deg, d = 7.194 Å, intensity 69
- 18.28 deg, d = 4.852 Å, intensity 100
- 22.71 deg, d = 3.915 Å, intensity 19
- 26.35 deg, d = 3.382 Å, intensity 36
- 29.73 deg, d = 3.005 Å, intensity 22
- 36.87 deg, d = 2.438 Å, intensity 18
- 42.42 deg, d = 2.131 Å, intensity 61
- 43.14 deg, d = 2.097 Å, intensity 57
- 43.25 deg, d = 2.092 Å, intensity 57
- 62.18 deg, d = 1.493 Å, intensity 31

***

# 3
Starting from a crystal structure in the Materials Project, relaxed with GGA+U, the powder diffractogram of Li3Cr2Fe2O8 was simulated for λ = 1.5418 Å (Cu Kα).
Peak positions follow from Bragg's law for the DFT cell and can differ from measured ones.

Atomic structure:
```
Li3Cr2Fe2O8
1.0
5.152 -2.982 0.000
5.152 2.982 0.000
-3.412 0.000 4.872
Li Cr Fe O
3 2 2 8
Direct
0.000 0.000 0.000
0.000 0.500 0.500
0.500 0.000 0.500
0.500 0.500 0.000
0.500 0.500 0.500
0.000 0.500 0.000
0.500 0.000 0.000
0.258 0.258 0.242
0.270 0.715 0.232
0.271 0.271 0.783
0.285 0.730 0.768
0.715 0.270 0.232
0.729 0.729 0.217
0.730 0.285 0.768
0.742 0.742 0.758
```

Top 10 peaks for 10 to 80 degrees two-theta, low angle first:
- 18.23 deg, d = 4.867 Å, intensity 100
- 35.29 deg, d = 2.544 Å, intensity 21
- 35.36 deg, d = 2.538 Å, intensity 17
- 36.91 deg, d = 2.435 Å, intensity 11
- 42.92 deg, d = 2.107 Å, intensity 69
- 47.04 deg, d = 1.932 Å, intensity 5
- 56.77 deg, d = 1.622 Å, intensity 9
- 62.22 deg, d = 1.492 Å, intensity 18
- 62.42 deg, d = 1.488 Å, intensity 19
- 78.56 deg, d = 1.218 Å, intensity 8

***

# 4
Starting from a crystal structure in the Materials Project, relaxed with GGA+U, the powder diffractogram of Li5Cr2Fe3P6O24 was simulated for λ = 1.5418 Å (Cu Kα).
Peak positions follow from Bragg's law for the DFT cell and can differ from measured ones.

Atomic structure:
```
Li5Cr2Fe3P6O24
1.0
8.431 0.000 0.000
4.010 7.613 0.000
4.198 2.629 7.295
Li Cr Fe P O
5 2 3 6 24
Direct
0.000 0.000 0.000
0.011 0.346 0.839
0.104 0.829 0.527
0.194 0.333 0.489
0.663 0.515 0.820
0.363 0.686 0.164
0.852 0.190 0.673
0.213 0.529 0.014
0.505 0.830 0.313
0.710 0.045 0.520
0.106 0.128 0.215
0.303 0.927 0.704
0.412 0.427 0.622
0.602 0.230 0.131
0.801 0.732 0.920
0.910 0.649 0.416
0.045 0.151 0.068
0.112 0.091 0.721
0.113 0.613 0.268
0.168 0.291 0.171
0.257 0.362 0.652
0.261 0.929 0.251
0.282 0.776 0.901
0.328 0.860 0.560
0.374 0.484 0.782
0.427 0.595 0.438
0.453 0.433 0.094
0.472 0.988 0.653
0.518 0.081 0.184
0.606 0.762 0.077
0.611 0.272 0.603
0.661 0.196 0.287
0.754 0.719 0.336
0.764 0.236 0.946
0.806 0.923 0.755
0.820 0.585 0.860
0.892 0.795 0.481
0.905 0.457 0.573
0.955 0.107 0.411
0.965 0.682 0.985
```

Top 10 peaks for 10 to 80 degrees two-theta, low angle first:
- 20.13 deg, d = 4.410 Å, intensity 99
- 23.31 deg, d = 3.815 Å, intensity 55
- 23.68 deg, d = 3.757 Å, intensity 22
- 24.20 deg, d = 3.678 Å, intensity 100
- 31.96 deg, d = 2.800 Å, intensity 37
- 32.34 deg, d = 2.768 Å, intensity 26
- 32.46 deg, d = 2.758 Å, intensity 25
- 33.27 deg, d = 2.693 Å, intensity 39
- 35.23 deg, d = 2.548 Å, intensity 45
- 35.32 deg, d = 2.541 Å, intensity 25